Record 1
Calculated powder X-ray diffraction pattern of LaTiO3 for Cu Kα (weighted mean of Kα1 and Kα2), from a DFT-relaxed cell (GGA-PBE, the Materials Project).
Neutral-atom scattering factors, no anomalous dispersion.

Atomic structure:
a b c (Å): 5.673 7.938 5.569
angles (deg): 90.00 90.00 90.00
Space group Pnma (No. 62)
Unique sites:
1 La 0.047 0.250 0.008
2 Ti 0.000 0.000 0.500
3 O 0.013 0.750 0.431
4 O 0.211 0.537 0.791

The 8 most intense peaks (2θ from 15° to 90°), sorted by position:
2θ/deg  I_rel  h k l
22.38  34  0 2 0
31.54  22  2 0 0
31.87  100  1 2 1
32.15  26  0 0 2
39.54  17  0 2 2
45.68  43  0 4 0
57.14  22  1 2 3
66.60  14  2 4 2

---

Record 2
Calculated powder X-ray diffraction pattern of LaTiO3 for Cu Kα (weighted mean of Kα1 and Kα2), from a DFT-relaxed cell (GGA-PBE, the Materials Project).
Neutral-atom scattering factors, no anomalous dispersion.

Atomic structure:
a b c (Å): 3.959 3.959 3.959
angles (deg): 90.00 90.00 90.00
Space group Pm-3m (No. 221)
Unique sites:
1 La 0.000 0.000 0.000
2 Ti 0.500 0.500 0.500
3 O 0.000 0.500 0.500

The 8 most intense peaks (2θ from 15° to 90°), sorted by position:
2θ/deg  I_rel  h k l
22.46  21  1 0 0
31.97  100  1 1 0
39.42  26  1 1 1
45.84  34  2 0 0
51.62  11  2 1 0
56.98  38  2 1 1
66.84  20  2 2 0
76.02  16  3 1 0

---

Record 3
Calculated powder X-ray diffraction pattern of La5Ti5O17 for Cu Kα (weighted mean of Kα1 and Kα2), from a DFT-relaxed cell (GGA-PBE, the Materials Project).
Neutral-atom scattering factors, no anomalous dispersion.

Atomic structure:
a b c (Å): 3.968 5.546 31.763
angles (deg): 90.00 90.00 90.00
Space group Pmn2_1 (No. 31)
Unique sites:
1 La 0.000 0.173 0.000
2 La 0.000 0.244 0.215
3 La 0.000 0.326 0.430
4 La 0.000 0.729 0.308
5 La 0.000 0.761 0.122
6 Ti 0.000 0.216 0.892
7 Ti 0.000 0.257 0.715
8 Ti 0.000 0.289 0.538
9 Ti 0.000 0.751 0.806
10 Ti 0.000 0.760 0.624
11 O 0.000 0.057 0.664
12 O 0.000 0.060 0.835
13 O 0.000 0.066 0.491
14 O 0.000 0.236 0.297
15 O 0.000 0.248 0.133
16 O 0.000 0.437 0.939
17 O 0.000 0.454 0.595
18 O 0.000 0.462 0.766
19 O 0.000 0.538 0.850
20 O 0.000 0.554 0.504
21 O 0.000 0.558 0.682
22 O 0.000 0.740 0.215
23 O 0.000 0.741 0.386
24 O 0.000 0.750 0.044
25 O 0.000 0.952 0.926
26 O 0.000 0.963 0.749
27 O 0.000 0.975 0.580

The 8 most intense peaks (2θ from 15° to 90°), sorted by position:
2θ/deg  I_rel  h k l
21.27  42  0 1 5
28.09  41  0 0 10
29.89  100  1 1 4
32.28  31  0 2 0
32.49  57  1 1 6
43.32  35  0 2 10
45.73  37  2 0 0
47.54  29  0 2 12

---

Record 4
Calculated powder X-ray diffraction pattern of La4Ti3O12 for Cu Kα (weighted mean of Kα1 and Kα2), from a DFT-relaxed cell (GGA-PBE, the Materials Project).
Neutral-atom scattering factors, no anomalous dispersion.

Atomic structure:
a b c (Å): 5.6022 5.6022 26.3701
angles (deg): 90.00 90.00 120.00
Space group R-3 (No. 148, hexagonal axes)
Unique sites:
1 La 0.0000 0.0000 0.1343
2 La 0.0000 0.0000 0.2874
3 Ti 0.0000 0.0000 0.0000
4 Ti 0.0000 0.0000 0.4244
5 O 0.0009 0.4364 0.7079
6 O 0.0056 0.4303 0.8778

The 8 most intense peaks (2θ from 15° to 90°), sorted by position:
2θ/deg  I_rel  h k l
24.94  18  0 1 5
30.03  100  1 0 7
31.95  82  1 1 0
40.95  17  2 0 5
44.42  53  0 2 7
52.09  19  0 1 14
55.75  36  2 1 7
56.94  21  3 0 0

---

Record 5
Calculated powder X-ray diffraction pattern of LaTi2O6 for Cu Kα (weighted mean of Kα1 and Kα2), from a DFT-relaxed cell (GGA-PBE, the Materials Project).
Neutral-atom scattering factors, no anomalous dispersion.

Atomic structure:
a b c (Å): 3.840 3.840 8.054
angles (deg): 90.00 90.00 90.00
Space group P4/mmm (No. 123)
Unique sites:
1 La 0.000 0.000 0.000
2 Ti 0.500 0.500 0.273
3 O 0.000 0.500 0.224
4 O 0.500 0.500 0.000
5 O 0.500 0.500 0.500

The 8 most intense peaks (2θ from 15° to 90°), sorted by position:
2θ/deg  I_rel  h k l
25.70  100  1 0 1
32.21  93  1 0 2
32.99  45  1 1 0
34.87  25  1 1 1
40.05  26  1 1 2
47.35  42  2 0 0
47.64  34  1 1 3
58.43  34  2 1 2

---

Record 6
Calculated powder X-ray diffraction pattern of LaTi2TlO6 for Cu Kα (weighted mean of Kα1 and Kα2), from a DFT-relaxed cell (GGA-PBE, the Materials Project).
Neutral-atom scattering factors, no anomalous dispersion.

Atomic structure:
a b c (Å): 7.943 7.943 7.943
angles (deg): 90.00 90.00 90.00
Space group Fm-3m (No. 225)
Unique sites:
1 La 0.000 0.000 0.000
2 Ti 0.250 0.250 0.250
3 Tl 0.000 0.000 0.500
4 O 0.000 0.250 0.250

The 8 most intense peaks (2θ from 15° to 90°), sorted by position:
2θ/deg  I_rel  h k l
22.39  31  2 0 0
31.87  100  2 2 0
39.29  28  2 2 2
45.69  32  4 0 0
51.45  16  4 2 0
56.78  39  4 2 2
66.61  19  4 4 0
75.74  17  6 2 0

---

Record 7
Calculated powder X-ray diffraction pattern of LaY3Ti4O12 for Cu Kα (weighted mean of Kα1 and Kα2), from a DFT-relaxed cell (GGA-PBE, the Materials Project).
Neutral-atom scattering factors, no anomalous dispersion.

Atomic structure:
a b c (Å): 5.399 7.751 5.736
angles (deg): 90.00 90.00 90.00
Space group Pm (No. 6)
Unique sites:
1 La 0.000 0.000 0.000
2 Y 0.038 0.500 0.862
3 Y 0.499 0.500 0.364
4 Y 0.539 0.000 0.505
5 Ti 0.016 0.253 0.435
6 Ti 0.517 0.254 0.934
7 O 0.132 0.000 0.412
8 O 0.208 0.309 0.132
9 O 0.323 0.308 0.634
10 O 0.429 0.000 0.895
11 O 0.636 0.500 0.979
12 O 0.701 0.199 0.244
13 O 0.818 0.203 0.729
14 O 0.903 0.500 0.475

The 8 most intense peaks (2θ from 15° to 90°), sorted by position:
2θ/deg  I_rel  h k l
25.40  23  1 1 -1
31.18  19  0 0 2
32.44  100  1 2 1
33.19  24  2 0 0
46.18  20  2 0 2
46.88  16  0 4 0
52.10  20  1 1 -3
58.82  23  3 2 1

---

Record 8
Calculated powder X-ray diffraction pattern of La3YTi4O14 for Cu Kα (weighted mean of Kα1 and Kα2), from a DFT-relaxed cell (GGA-PBE, the Materials Project).
Neutral-atom scattering factors, no anomalous dispersion.

Atomic structure:
a b c (Å): 7.3737 7.3737 18.0241
angles (deg): 90.00 90.00 120.00
Space group R-3m (No. 166, hexagonal axes)
Unique sites:
1 La 0.0000 0.5000 0.0000
2 Y 0.0000 0.0000 0.5000
3 Ti 0.0000 0.0000 0.0000
4 Ti 0.0000 0.5000 0.5000
5 O 0.0000 0.0000 0.3801
6 O 0.0649 0.5324 0.8575
7 O 0.0682 0.5341 0.6079

The 8 most intense peaks (2θ from 15° to 90°), sorted by position:
2θ/deg  I_rel  h k l
28.40  11  0 2 1
29.70  100  2 0 2
34.43  27  0 2 4
37.63  20  2 0 5
45.22  9  0 2 7
49.48  48  2 2 0
58.78  41  0 2 10
80.29  12  4 0 10

---

Record 9
Calculated powder X-ray diffraction pattern of LaTlO3 for Cu Kα (weighted mean of Kα1 and Kα2), from a DFT-relaxed cell (GGA-PBE, the Materials Project).
Neutral-atom scattering factors, no anomalous dispersion.

Atomic structure:
a b c (Å): 3.7519 3.7519 13.0279
angles (deg): 90.00 90.00 120.00
Space group P6_3mc (No. 186)
Unique sites:
1 La 0.0000 0.0000 0.0000
2 Tl 0.3333 0.6667 0.2681
3 O 0.0000 0.0000 0.2097
4 O 0.3333 0.6667 0.5520
5 O 0.3333 0.6667 0.8783

The 8 most intense peaks (2θ from 15° to 90°), sorted by position:
2θ/deg  I_rel  h k l
27.39  53  0 0 4
28.31  67  1 0 1
30.75  100  1 0 2
34.47  58  1 0 3
44.57  24  1 0 5
48.53  45  1 1 0
50.57  31  1 0 6
56.62  42  1 1 4

---

Record 10
Calculated powder X-ray diffraction pattern of LaUO4 for Cu Kα (weighted mean of Kα1 and Kα2), from a DFT-relaxed cell (GGA-PBE, the Materials Project).
Neutral-atom scattering factors, no anomalous dispersion.

Atomic structure:
a b c (Å): 3.847 3.847 5.633
angles (deg): 90.00 90.00 90.00
Space group P4/mmm (No. 123)
Unique sites:
1 La 0.000 0.000 0.000
2 U 0.500 0.500 0.500
3 O 0.000 0.500 0.274

The 8 most intense peaks (2θ from 15° to 90°), sorted by position:
2θ/deg  I_rel  h k l
28.09  100  1 0 1
31.77  12  0 0 2
32.92  22  1 1 0
46.40  35  1 1 2
47.25  17  2 0 0
54.37  16  1 0 3
55.87  30  2 1 1
74.85  13  2 1 3

---

Record 11
Calculated powder X-ray diffraction pattern of LaUO4 for Cu Kα (weighted mean of Kα1 and Kα2), from a DFT-relaxed cell (GGA-PBE, the Materials Project).
Neutral-atom scattering factors, no anomalous dispersion.

Atomic structure:
a b c (Å): 3.9356 3.9356 18.8624
angles (deg): 90.00 90.00 120.00
Space group R-3m (No. 166, hexagonal axes)
Unique sites:
1 La 0.0000 0.0000 0.0000
2 U 0.0000 0.0000 0.5000
3 O 0.0000 0.0000 0.1338
4 O 0.0000 0.0000 0.3864

The 8 most intense peaks (2θ from 15° to 90°), sorted by position:
2θ/deg  I_rel  h k l
27.83  100  0 1 2
28.39  31  0 0 6
32.41  45  1 0 4
46.13  35  1 1 0
46.85  32  0 1 8
54.74  16  2 0 2
55.06  30  1 1 6
55.70  15  1 0 10

---

Record 12
Calculated powder X-ray diffraction pattern of La6UO12 for Cu Kα (weighted mean of Kα1 and Kα2), from a DFT-relaxed cell (GGA-PBE, the Materials Project).
Neutral-atom scattering factors, no anomalous dispersion.

Atomic structure:
a b c (Å): 10.5161 10.5161 10.0292
angles (deg): 90.00 90.00 120.00
Space group R-3 (No. 148, hexagonal axes)
Unique sites:
1 La 0.0429 0.7905 0.1464
2 U 0.0000 0.0000 0.5000
3 O 0.0345 0.8096 0.9022
4 O 0.0365 0.8485 0.3927

The 8 most intense peaks (2θ from 15° to 90°), sorted by position:
2θ/deg  I_rel  h k l
26.67  32  0 0 3
27.39  100  3 -1 1
31.52  44  1 2 2
44.72  30  3 -1 4
45.65  30  4 1 0
52.83  12  1 2 5
53.65  26  5 -4 3
54.06  15  2 4 1